(1)
Starting from the PBE geometry in Alexandria, the X-ray powder pattern of DyMg5 was calculated for copper Kα.

Structural model:
Lattice parameters (Å, degrees): 5.0972 5.0972 6.5864 90.00 90.00 120.00
Sites, in units of the cell vectors:
Dy (0.0000, 0.0000, 0.0000)
Mg (0.0000, 0.0000, 0.5000)
Mg (0.3333, 0.6667, 0.2500)
Mg (0.3333, 0.6667, 0.7481)
Mg (0.6667, 0.3333, 0.2519)
Mg (0.6667, 0.3333, 0.7500)

Main lines, low angle first (2θ = 15–90°):
two_theta  d (Å)  intensity
20.12  4.414  58
24.27  3.667  75
33.96  2.640  100
35.21  2.549  67
37.85  2.377  24
49.73  1.833  34
62.39  1.488  34
67.75  1.383  19

(2)
Starting from the PBE geometry in Alexandria, the X-ray powder pattern of Dy5Mg was calculated for copper Kα.

Structural model:
Lattice parameters (Å, degrees): 7.8770 7.8770 4.9116 90.00 90.00 143.57
Sites, in units of the cell vectors:
Dy (0.0000, 0.0000, 0.0000)
Dy (0.1653, 0.8347, 0.5000)
Dy (0.3309, 0.6691, 0.0000)
Dy (0.6691, 0.3309, 0.0000)
Dy (0.8347, 0.1653, 0.5000)
Mg (0.5000, 0.5000, 0.5000)

Main lines, low angle first (2θ = 15–90°):
two_theta  d (Å)  intensity
31.36  2.853  100
36.01  2.494  17
36.54  2.459  33
52.24  1.751  24
61.85  1.500  15
62.50  1.486  14
62.63  1.483  14
65.44  1.426  12

(3)
Starting from the PBE geometry in Alexandria, the X-ray powder pattern of Dy5Mg was calculated for copper Kα.

Structural model:
Lattice parameters (Å, degrees): 6.3995 6.3995 8.5519 111.13 111.13 34.00
Sites, in units of the cell vectors:
Dy (0.0000, 0.0000, 0.0000)
Dy (0.0223, 0.0223, 0.4572)
Dy (0.3526, 0.3526, 0.6481)
Dy (0.6814, 0.6814, 0.8363)
Dy (0.7048, 0.7048, 0.2963)
Mg (0.3514, 0.3514, 0.1468)

Main lines, low angle first (2θ = 15–90°):
two_theta  d (Å)  intensity
31.12  2.874  44
31.54  2.837  19
31.78  2.815  100
32.08  2.790  52
33.71  2.659  89
42.29  2.137  17
55.75  1.649  19
59.46  1.554  44

What is the formula in the first record?
DyMg5

Copy entry 3 word for word.
Starting from the PBE geometry in Alexandria, the X-ray powder pattern of Dy5Mg was calculated for copper Kα.

Structural model:
Lattice parameters (Å, degrees): 6.3995 6.3995 8.5519 111.13 111.13 34.00
Sites, in units of the cell vectors:
Dy (0.0000, 0.0000, 0.0000)
Dy (0.0223, 0.0223, 0.4572)
Dy (0.3526, 0.3526, 0.6481)
Dy (0.6814, 0.6814, 0.8363)
Dy (0.7048, 0.7048, 0.2963)
Mg (0.3514, 0.3514, 0.1468)

Main lines, low angle first (2θ = 15–90°):
two_theta  d (Å)  intensity
31.12  2.874  44
31.54  2.837  19
31.78  2.815  100
32.08  2.790  52
33.71  2.659  89
42.29  2.137  17
55.75  1.649  19
59.46  1.554  44

Please write out number 3 again, unchanged.
Starting from the PBE geometry in Alexandria, the X-ray powder pattern of Dy5Mg was calculated for copper Kα.

Structural model:
Lattice parameters (Å, degrees): 6.3995 6.3995 8.5519 111.13 111.13 34.00
Sites, in units of the cell vectors:
Dy (0.0000, 0.0000, 0.0000)
Dy (0.0223, 0.0223, 0.4572)
Dy (0.3526, 0.3526, 0.6481)
Dy (0.6814, 0.6814, 0.8363)
Dy (0.7048, 0.7048, 0.2963)
Mg (0.3514, 0.3514, 0.1468)

Main lines, low angle first (2θ = 15–90°):
two_theta  d (Å)  intensity
31.12  2.874  44
31.54  2.837  19
31.78  2.815  100
32.08  2.790  52
33.71  2.659  89
42.29  2.137  17
55.75  1.649  19
59.46  1.554  44